No. 1
Tb2Nd2DyY6: simulated powder diffraction line list (Cu Kα), based on DFT lattice parameters and positions (GGA-PBE).
Intensities are scaled so that the largest is 100.

Atomic structure:
a = 6.6796 Å, b = 6.6796 Å, c = 10.6499 Å
α = 90.00°, β = 90.00°, γ = 129.57°
Atoms (fractional coordinates):
1 Tb 0.2066 0.7934 0.0000
2 Tb 0.7934 0.2066 0.0000
3 Nd 0.1336 0.8664 0.5000
4 Nd 0.8664 0.1336 0.5000
5 Dy 0.5000 0.5000 0.0000
6 Y 0.0000 0.0000 0.2034
7 Y 0.0000 0.0000 0.7966
8 Y 0.3474 0.6526 0.2909
9 Y 0.3474 0.6526 0.7091
10 Y 0.6526 0.3474 0.2909
11 Y 0.6526 0.3474 0.7091

Most intense lines, 15 to 90 degrees two-theta, most intense first:
two_theta	d_spacing	Rel. int.
32.0	2.798	100
31.4	2.846	38
30.6	2.923	30
56.3	1.633	26
30.8	2.907	24
33.7	2.662	19
44.6	2.033	17
46.7	1.944	16
62.0	1.498	15
62.5	1.485	13
52.6	1.741	11
79.8	1.201	9

***

No. 2
Tb2NdDy2Y4: simulated powder diffraction line list (Cu Kα), based on DFT lattice parameters and positions (GGA-PBE).
Intensities are scaled so that the largest is 100.

Atomic structure:
a = 9.5327 Å, b = 9.5327 Å, c = 9.5832 Å
α = 115.23°, β = 115.23°, γ = 21.81°
Atoms (fractional coordinates):
1 Tb 0.1484 0.1484 0.1670
2 Tb 0.8516 0.8516 0.8330
3 Nd 0.0000 0.0000 0.5000
4 Dy 0.3322 0.3322 0.5000
5 Dy 0.6678 0.6678 0.5000
6 Y 0.1860 0.1860 0.8344
7 Y 0.4810 0.4810 0.1643
8 Y 0.5190 0.5190 0.8357
9 Y 0.8140 0.8140 0.1656

Most intense lines, 15 to 90 degrees two-theta, most intense first:
two_theta	d_spacing	Rel. int.
31.8	2.812	100
33.5	2.674	88
31.1	2.878	48
28.8	3.099	46
60.6	1.528	42
50.6	1.802	37
57.9	1.592	18
40.1	2.247	18
86.6	1.124	16
61.1	1.517	15
62.1	1.495	15
54.6	1.680	14

***

No. 3
Tb2NdDy6Y2: simulated powder diffraction line list (Cu Kα), based on DFT lattice parameters and positions (GGA-PBE).
Intensities are scaled so that the largest is 100.

Atomic structure:
a = 6.6511 Å, b = 6.6511 Å, c = 10.5929 Å
α = 90.00°, β = 90.00°, γ = 129.50°
Atoms (fractional coordinates):
1 Tb 0.2030 0.7970 0.0000
2 Tb 0.7970 0.2030 0.0000
3 Nd 0.5000 0.5000 0.0000
4 Dy 0.0000 0.0000 0.2118
5 Dy 0.0000 0.0000 0.7882
6 Dy 0.3476 0.6524 0.2936
7 Dy 0.3476 0.6524 0.7064
8 Dy 0.6524 0.3476 0.2936
9 Dy 0.6524 0.3476 0.7064
10 Y 0.1361 0.8639 0.5000
11 Y 0.8639 0.1361 0.5000

Most intense lines, 15 to 90 degrees two-theta, most intense first:
two_theta	d_spacing	Rel. int.
32.1	2.786	100
31.5	2.837	37
30.7	2.909	26
56.5	1.628	21
33.8	2.648	15
30.9	2.893	13
62.3	1.491	13
46.9	1.936	12
62.9	1.478	12
52.9	1.732	10
44.7	2.026	9
28.5	3.129	8

***

No. 4
Nd2Dy2Te5: simulated powder diffraction line list (Cu Kα), based on DFT lattice parameters and positions (GGA-PBE).
Intensities are scaled so that the largest is 100.

Atomic structure:
a = 11.1413 Å, b = 11.1413 Å, c = 11.1413 Å
α = 63.23°, β = 133.39°, γ = 139.76°
Atoms (fractional coordinates):
1 Nd 0.0723 0.0891 0.1614
2 Nd 0.0723 0.4109 0.4832
3 Nd 0.9277 0.5891 0.5168
4 Nd 0.9277 0.9109 0.8386
5 Dy 0.3547 0.7123 0.1424
6 Dy 0.5458 0.0458 0.5000
7 Dy 0.5458 0.5458 0.0000
8 Dy 0.5699 0.2123 0.8576
9 Te 0.0097 0.3253 0.1844
10 Te 0.0375 0.2870 0.8248
11 Te 0.0375 0.7127 0.2505
12 Te 0.1409 0.8253 0.8156
13 Te 0.4622 0.2127 0.1752
14 Te 0.4622 0.7870 0.7495
15 Te 0.5052 0.2656 0.5382
16 Te 0.5052 0.4670 0.7396
17 Te 0.7273 0.7656 0.2604
18 Te 0.7273 0.9670 0.4618

Most intense lines, 15 to 90 degrees two-theta, most intense first:
two_theta	d_spacing	Rel. int.
32.3	2.775	100
33.6	2.665	81
30.9	2.892	78
29.1	3.072	74
25.6	3.486	74
23.2	3.832	59
24.3	3.668	54
41.1	2.195	53
37.9	2.375	47
23.8	3.746	43
41.4	2.179	36
32.4	2.766	36

***

No. 5
NdDy4Te5: simulated powder diffraction line list (Cu Kα), based on DFT lattice parameters and positions (GGA-PBE).
Intensities are scaled so that the largest is 100.

Atomic structure:
a = 7.6067 Å, b = 7.6067 Å, c = 10.7295 Å
α = 118.23°, β = 118.23°, γ = 33.46°
Atoms (fractional coordinates):
1 Nd 0.0000 0.0000 0.0000
2 Dy 0.2054 0.2054 0.7996
3 Dy 0.4022 0.4022 0.6066
4 Dy 0.5978 0.5978 0.3934
5 Dy 0.7946 0.7946 0.2004
6 Te 0.0000 0.0000 0.5000
7 Te 0.2038 0.2038 0.3084
8 Te 0.3945 0.3945 0.1041
9 Te 0.6055 0.6055 0.8959
10 Te 0.7962 0.7962 0.6916

Most intense lines, 15 to 90 degrees two-theta, most intense first:
two_theta	d_spacing	Rel. int.
28.8	3.099	100
41.2	2.189	38
41.1	2.194	38
51.1	1.788	20
67.7	1.385	17
67.5	1.387	17
75.1	1.264	17
59.7	1.549	12
50.9	1.793	7
89.6	1.094	4
74.9	1.268	4
89.3	1.097	3

***

No. 6
Nd2Dy2Te7: simulated powder diffraction line list (Cu Kα), based on DFT lattice parameters and positions (GGA-PBE).
Intensities are scaled so that the largest is 100.

Atomic structure:
a = 9.6664 Å, b = 9.6664 Å, c = 9.6664 Å
α = 154.16°, β = 68.06°, γ = 118.26°
Atoms (fractional coordinates):
1 Nd 0.2420 0.0000 0.2420
2 Nd 0.7580 0.0000 0.7580
3 Dy 0.3288 0.8288 0.5000
4 Dy 0.7723 0.7723 0.0000
5 Te 0.0271 0.7010 0.3261
6 Te 0.0950 0.0950 0.0000
7 Te 0.3748 0.7010 0.6739
8 Te 0.3899 0.4971 0.8928
9 Te 0.6043 0.4971 0.1072
10 Te 0.6695 0.3099 0.3596
11 Te 0.9503 0.3099 0.6404

Most intense lines, 15 to 90 degrees two-theta, most intense first:
two_theta	d_spacing	Rel. int.
31.8	2.816	100
36.0	2.495	44
32.2	2.782	32
27.9	3.193	30
41.8	2.161	26
38.3	2.351	26
55.9	1.645	22
58.0	1.591	16
26.5	3.360	15
29.3	3.049	14
27.5	3.238	14
21.1	4.217	13

***

Repeat the fifth record exactly.
NdDy4Te5: simulated powder diffraction line list (Cu Kα), based on DFT lattice parameters and positions (GGA-PBE).
Intensities are scaled so that the largest is 100.

Atomic structure:
a = 7.6067 Å, b = 7.6067 Å, c = 10.7295 Å
α = 118.23°, β = 118.23°, γ = 33.46°
Atoms (fractional coordinates):
1 Nd 0.0000 0.0000 0.0000
2 Dy 0.2054 0.2054 0.7996
3 Dy 0.4022 0.4022 0.6066
4 Dy 0.5978 0.5978 0.3934
5 Dy 0.7946 0.7946 0.2004
6 Te 0.0000 0.0000 0.5000
7 Te 0.2038 0.2038 0.3084
8 Te 0.3945 0.3945 0.1041
9 Te 0.6055 0.6055 0.8959
10 Te 0.7962 0.7962 0.6916

Most intense lines, 15 to 90 degrees two-theta, most intense first:
two_theta	d_spacing	Rel. int.
28.8	3.099	100
41.2	2.189	38
41.1	2.194	38
51.1	1.788	20
67.7	1.385	17
67.5	1.387	17
75.1	1.264	17
59.7	1.549	12
50.9	1.793	7
89.6	1.094	4
74.9	1.268	4
89.3	1.097	3